Diffraction record for Gd3Sn4. The PXRD pattern is theoretical, not measured: it uses a cell relaxed with PBE and CuKα.

Principal peaks in the range 2θ from 15° to 90°, most intense first:
index  2theta  d [Å]  I_rel
1 1 4  31.81  2.813  100.0
1 3 0  31.04  2.881  58.9
0 4 4  38.90  2.315  40.2
2 0 0  41.46  2.178  33.6
1 3 3  35.65  2.518  33.0
0 4 1  31.58  2.833  30.8
1 3 10  68.56  1.369  22.5
1 3 2  33.16  2.702  20.6

Structure:
a = 4.356 Å, b = 11.523 Å, c = 15.556 Å
α = 90.00°, β = 90.00°, γ = 90.00°
Space group Cmcm (No. 63)
Asymmetric unit:
Gd1 0.000 0.056 0.250 (multiplicity 4)
Gd2 0.000 0.333 0.098 (multiplicity 8)
Sn1 0.000 0.000 0.000 (multiplicity 4)
Sn2 0.000 0.210 0.750 (multiplicity 4)
Sn3 0.000 0.377 0.608 (multiplicity 8)